(1)
# Tl4Hg4Bi3
Theoretical PXRD pattern, Cu Kα (λ = 1.5418 Å). Input: a DFT-relaxed cell (PBE, Alexandria).

Atomic structure:
a = 3.4937 Å, b = 3.4963 Å, c = 27.5114 Å
α = 93.38°, β = 93.35°, γ = 94.30°
Element x y z (fractional)
Tl 0.0000 0.0000 0.0000
Tl 0.1032 0.0821 0.1879
Tl 0.3484 0.3830 0.7293
Tl 0.7588 0.6941 0.4586
Hg 0.2952 0.2552 0.5532
Hg 0.4391 0.4746 0.9113
Hg 0.6666 0.6043 0.2767
Hg 0.8130 0.8205 0.6348
Bi 0.2111 0.1479 0.3650
Bi 0.5521 0.5405 0.0939
Bi 0.8961 0.9291 0.8230

Top 10 peaks for 15 to 90 degrees two-theta, sorted by position:
d/Å	I (rel.)
2.856	100
2.562	18
2.492	17
2.377	16
1.786	12
1.743	12
1.530	14
1.500	14
1.449	13
1.428	12



(2)
# Tl3Hg6Bi
Theoretical PXRD pattern, Cu Kα (λ = 1.5418 Å). Input: a DFT-relaxed cell (PBE, Alexandria).

Atomic structure:
a = 11.5903 Å, b = 3.3824 Å, c = 15.4598 Å
α = 90.00°, β = 101.13°, γ = 90.00°
Element x y z (fractional)
Tl 0.1192 0.2500 0.4253
Tl 0.3335 0.2500 0.9268
Tl 0.3767 0.7500 0.5267
Tl 0.6233 0.2500 0.4733
Tl 0.6665 0.7500 0.0732
Tl 0.8808 0.7500 0.5747
Hg 0.0951 0.7500 0.8141
Hg 0.1452 0.7500 0.2392
Hg 0.1552 0.7500 0.6288
Hg 0.3719 0.2500 0.3333
Hg 0.3894 0.2500 0.7269
Hg 0.4028 0.2500 0.1348
Hg 0.5972 0.7500 0.8652
Hg 0.6106 0.7500 0.2731
Hg 0.6281 0.7500 0.6667
Hg 0.8448 0.2500 0.3713
Hg 0.8548 0.2500 0.7608
Hg 0.9049 0.2500 0.1859
Bi 0.1256 0.7500 0.0355
Bi 0.8744 0.2500 0.9645

Top 10 peaks for 15 to 90 degrees two-theta, sorted by position:
d/Å	I (rel.)
3.086	34
2.921	63
2.907	100
2.844	78
2.808	34
2.630	60
2.485	37
2.258	25
1.691	22
1.454	22



(3)
# Tl17Hg11Bi
Theoretical PXRD pattern, Cu Kα (λ = 1.5418 Å). Input: a DFT-relaxed cell (PBE, Alexandria).

Atomic structure:
a = 10.7889 Å, b = 10.7889 Å, c = 9.8952 Å
α = 108.55°, β = 108.55°, γ = 113.31°
Element x y z (fractional)
Tl 0.0000 0.0000 0.0000
Tl 0.0582 0.6628 0.3405
Tl 0.0625 0.3419 0.6493
Tl 0.2561 0.2561 0.9423
Tl 0.2566 0.9414 0.2456
Tl 0.3159 0.6586 0.6519
Tl 0.3410 0.6628 0.0452
Tl 0.3419 0.0625 0.6493
Tl 0.3731 0.9755 0.9646
Tl 0.6427 0.6427 0.2784
Tl 0.6505 0.6505 0.6416
Tl 0.6586 0.3159 0.6519
Tl 0.6628 0.0582 0.3405
Tl 0.6628 0.3410 0.0452
Tl 0.9414 0.2566 0.2456
Tl 0.9691 0.9691 0.3681
Tl 0.9755 0.3731 0.9646
Hg 0.0202 0.8468 0.6515
Hg 0.0311 0.6520 0.8333
Hg 0.2684 0.2684 0.4390
Hg 0.2913 0.4831 0.2856
Hg 0.4656 0.8426 0.4545
Hg 0.4831 0.2913 0.2856
Hg 0.6520 0.0311 0.8333
Hg 0.6652 0.8557 0.0244
Hg 0.8426 0.4656 0.4545
Hg 0.8468 0.0202 0.6515
Hg 0.8557 0.6652 0.0244
Bi 0.4749 0.4749 0.8339

Top 10 peaks for 15 to 90 degrees two-theta, sorted by position:
d/Å	I (rel.)
3.005	92
2.913	93
2.894	100
2.841	85
2.816	95
2.788	84
2.779	95
2.751	93
2.635	48
1.650	49



(4)
# Tl7Hg2Bi
Theoretical PXRD pattern, Cu Kα (λ = 1.5418 Å). Input: a DFT-relaxed cell (PBE, Alexandria).

Atomic structure:
a = 9.1499 Å, b = 9.1499 Å, c = 12.0974 Å
α = 126.43°, β = 126.43°, γ = 55.20°
Element x y z (fractional)
Tl 0.0391 0.9609 0.7500
Tl 0.1258 0.3698 0.8920
Tl 0.1732 0.4701 0.6629
Tl 0.2577 0.5939 0.4568
Tl 0.3698 0.1258 0.3920
Tl 0.4061 0.7423 0.0432
Tl 0.4701 0.1732 0.1629
Tl 0.5299 0.8268 0.8371
Tl 0.5939 0.2577 0.9568
Tl 0.6302 0.8742 0.6080
Tl 0.7423 0.4061 0.5432
Tl 0.8268 0.5299 0.3371
Tl 0.8742 0.6302 0.1080
Tl 0.9609 0.0391 0.2500
Hg 0.0471 0.2029 0.0876
Hg 0.2029 0.0471 0.5876
Hg 0.7971 0.9529 0.4124
Hg 0.9529 0.7971 0.9124
Bi 0.3557 0.6443 0.2500
Bi 0.6443 0.3557 0.7500

Top 10 peaks for 15 to 90 degrees two-theta, sorted by position:
d/Å	I (rel.)
2.987	38
2.881	96
2.821	30
2.808	68
2.785	100
2.751	28
2.588	32
1.847	16
1.717	16
1.599	18